Entry 1:
NpUAs2O: computed X-ray diffraction stick pattern (Cu Ka), based on a structure optimized by DFT (PBE).
Lines closer than 0.1° are merged.

Crystal structure
```
data_NpUAs2O
_symmetry_space_group_name_H-M 'P 4/n m m'
_symmetry_Int_Tables_number 129
_cell_length_a 3.9699
_cell_length_b 3.9699
_cell_length_c 13.5452
_cell_angle_alpha 90.00
_cell_angle_beta 90.00
_cell_angle_gamma 90.00
loop_
_symmetry_equiv_pos_as_xyz
'x,y,z'
'-x,-y,-z'
'-y+1/2,x,z'
'y+1/2,-x,-z'
'-x+1/2,-y+1/2,z'
'x+1/2,y+1/2,-z'
'y,-x+1/2,z'
'-y,x+1/2,-z'
'x+1/2,-y,-z'
'-x+1/2,y,z'
'-y,-x,-z'
'y,x,z'
'-x,y+1/2,-z'
'x,-y+1/2,z'
'y+1/2,x+1/2,-z'
'-y+1/2,-x+1/2,z'
loop_
_atom_site_label
_atom_site_type_symbol
_atom_site_fract_x
_atom_site_fract_y
_atom_site_fract_z
_atom_site_occupancy
Np1 Np 0.2500 0.2500 0.0891 1
U1 U 0.2500 0.2500 0.6135 1
As1 As 0.2500 0.2500 0.3958 1
As2 As 0.2500 0.2500 0.8140 1
O1 O 0.2500 0.7500 0.0000 1
```

Peak list (10 most intense, 2θ from 5° to 70°, by angle)
2theta	I_rel	(hkl)
26.0	84	1 0 2
26.3	39	0 0 4
31.9	100	1 1 0
34.8	36	1 0 4
41.8	54	1 1 4
45.7	42	2 0 0
52.0	17	1 1 6
53.3	25	2 1 2
53.5	23	2 0 4
58.7	17	2 1 4

Entry 2:
PuV2H4: computed X-ray diffraction stick pattern (Cu Ka), based on a structure optimized by DFT (PBE).
Lines closer than 0.1° are merged.

Crystal structure
```
data_PuV2H4
_symmetry_space_group_name_H-M 'I m m a'
_symmetry_Int_Tables_number 74
_symmetry_space_group_name_Hall '-I 2b 2'
_cell_length_a 5.7166
_cell_length_b 5.7220
_cell_length_c 8.0802
_cell_angle_alpha 90.00
_cell_angle_beta 90.00
_cell_angle_gamma 90.00
loop_
_atom_site_label
_atom_site_type_symbol
_atom_site_fract_x
_atom_site_fract_y
_atom_site_fract_z
_atom_site_occupancy
Pu1 Pu 0.0000 0.2500 0.1253 1
V1 V 0.0000 0.0000 0.5000 1
V2 V 0.2500 0.2500 0.7500 1
H1 H 0.0000 0.0558 0.7223 1
H2 H 0.1943 0.2500 0.5276 1
```

Peak list (10 most intense, 2θ from 5° to 70°, by angle)
2theta	I_rel	(hkl)
19.0	44	0 1 1
31.3	92	2 0 0
36.9	100	1 0 3
38.6	6	0 2 2
44.8	6	2 2 0
49.1	14	1 2 3
55.7	37	3 1 2
59.4	34	0 1 5
65.3	23	4 0 0
68.7	11	2 1 5